1.
Calculated powder diffractogram
Compound: ZnCr2F12
Radiation: Cu Kα
Structure: a PBE+U-relaxed structure
No peak broadening, texture or thermal motion is included.

Peak list (10 most intense, 15° ≤ 2θ ≤ 90°, in order of falling intensity)
Position (°2θ)  I_rel  index
23.7  100  1 0 1
24.0  95  0 1 2
24.1  95  1 1 -1
40.5  28  -1 1 3
21.1  24  1 0 -1
20.1  24  1 1 0
40.3  21  1 1 -3
54.3  19  -1 2 3
62.2  19  0 1 6
53.5  18  1 -1 3

a b c (Å): 5.118 5.351 8.953
angles (deg): 74.22 89.53 62.03
Element x y z (fractional)
Zn  0.000  0.000  0.000
Cr  0.268  0.503  0.744
Cr  0.732  0.497  0.256
F  0.010  0.278  0.420
F  0.031  0.729  0.868
F  0.086  0.270  0.815
F  0.427  0.734  0.705
F  0.445  0.743  0.075
F  0.488  0.259  0.643
F  0.512  0.741  0.357
F  0.555  0.257  0.925
F  0.573  0.266  0.295
F  0.914  0.730  0.185
F  0.969  0.271  0.132
F  0.990  0.722  0.580

2.
Calculated powder diffractogram
Compound: LaMoBrO4
Radiation: Cu Kα
Structure: a PBE+U-relaxed structure
No peak broadening, texture or thermal motion is included.

Peak list (10 most intense, 15° ≤ 2θ ≤ 90°, in order of falling intensity)
Position (°2θ)  I_rel  index
32.2  100  2 1 -2
29.7  65  0 2 0
28.2  57  1 1 -2
26.7  56  0 1 2
23.1  52  2 1 0
30.6  48  3 1 0
28.5  42  2 0 2
45.2  32  0 0 4
39.0  29  4 1 0
17.7  26  2 0 0

a b c (Å): 10.001 6.025 8.027
angles (deg): 90.00 90.06 90.00
Element x y z (fractional)
La  0.000  0.053  0.000
La  0.000  0.947  0.500
La  0.561  0.446  0.751
La  0.561  0.554  0.251
Mo  0.137  0.494  0.221
Mo  0.137  0.506  0.721
Mo  0.424  0.003  0.971
Mo  0.424  0.997  0.471
Br  0.760  0.006  0.752
Br  0.760  0.994  0.252
Br  0.801  0.493  0.003
Br  0.801  0.507  0.503
O  0.052  0.237  0.284
O  0.052  0.763  0.784
O  0.057  0.231  0.724
O  0.057  0.769  0.224
O  0.124  0.431  0.000
O  0.124  0.569  0.500
O  0.249  0.009  0.503
O  0.249  0.991  0.003
O  0.312  0.496  0.255
O  0.312  0.504  0.755
O  0.438  0.068  0.750
O  0.438  0.932  0.250
O  0.505  0.263  0.035
O  0.505  0.737  0.535
O  0.507  0.270  0.474
O  0.507  0.730  0.974